# 1
Starting from DFT lattice parameters and positions (GGA+U), the powder diffraction line list of K4CoP6O25 was simulated for Cu Kα.

Unit cell a=12.9787 b=7.4044 c=12.3566 alpha=77.67 beta=33.87 gamma=68.45
Sites, in units of the cell vectors:
K: 0.1122 0.8878 0.1122
K: 0.4190 0.4190 0.0810
K: 0.8878 0.1122 0.8878
K: 0.9190 0.9190 0.5810
Co: 0.3904 0.3904 0.6096
P: 0.0076 0.4128 0.2502
P: 0.4128 0.0076 0.3294
P: 0.4262 0.8960 0.1040
P: 0.6706 0.7498 0.5872
P: 0.7498 0.6706 0.9924
P: 0.8960 0.4262 0.5738
O: 0.0004 0.2789 0.1824
O: 0.0363 0.5207 0.4793
O: 0.1407 0.4539 0.8593
O: 0.1827 0.4788 0.0961
O: 0.2789 0.0004 0.5383
O: 0.2869 0.8344 0.1656
O: 0.3118 0.9760 0.3089
O: 0.3198 0.4746 0.5254
O: 0.3268 0.6437 0.6732
O: 0.4539 0.1407 0.5461
O: 0.4617 0.8176 0.7211
O: 0.4746 0.3198 0.6802
O: 0.4788 0.1827 0.2424
O: 0.5207 0.0363 0.9637
O: 0.5968 0.6911 0.0240
O: 0.6095 0.8112 0.1888
O: 0.6437 0.3268 0.3563
O: 0.6911 0.5968 0.6882
O: 0.7576 0.9039 0.5212
O: 0.8112 0.6095 0.3905
O: 0.8176 0.4617 0.9996
O: 0.8344 0.2869 0.7131
O: 0.9039 0.7576 0.8173
O: 0.9076 0.9076 0.0924
O: 0.9760 0.3118 0.4032

Principal peaks in the range 10° ≤ 2θ ≤ 90°, in order of rising 2θ:
16.8 deg, intensity 31.6; 17.0 deg, intensity 100.0; 21.5 deg, intensity 40.8; 23.0 deg, intensity 29.7; 24.9 deg, intensity 44.8; 26.3 deg, intensity 74.5; 29.6 deg, intensity 42.8; 31.0 deg, intensity 39.6; 33.4 deg, intensity 16.1; 43.3 deg, intensity 11.7; 43.6 deg, intensity 15.4; 47.0 deg, intensity 13.8

***

# 2
Starting from DFT lattice parameters and positions (GGA+U), the powder diffraction line list of KCoH3C3O6 was simulated for Cu Kα.

Unit cell a=7.0596 b=7.0596 c=6.8379 alpha=92.96 beta=92.96 gamma=80.24
Sites, in units of the cell vectors:
K: 0.0998 0.9002 0.7500
K: 0.9002 0.0998 0.2500
Co: 0.0000 0.5000 0.0000
Co: 0.5000 0.0000 0.5000
H: 0.3222 0.4341 0.5075
H: 0.3766 0.6234 0.2500
H: 0.4341 0.3222 0.0075
H: 0.5659 0.6778 0.9925
H: 0.6234 0.3766 0.7500
H: 0.6778 0.5659 0.4925
C: 0.2547 0.7453 0.2500
C: 0.2625 0.3795 0.6366
C: 0.3795 0.2625 0.1366
C: 0.6205 0.7375 0.8634
C: 0.7375 0.6205 0.3634
C: 0.7453 0.2547 0.7500
O: 0.1185 0.7403 0.1221
O: 0.1666 0.5045 0.7484
O: 0.1989 0.2980 0.1589
O: 0.2597 0.8815 0.3779
O: 0.2980 0.1989 0.6589
O: 0.4955 0.8334 0.7516
O: 0.5045 0.1666 0.2484
O: 0.7020 0.8011 0.3411
O: 0.7403 0.1185 0.6221
O: 0.8011 0.7020 0.8411
O: 0.8334 0.4955 0.2516
O: 0.8815 0.2597 0.8779

Principal peaks in the range 10° ≤ 2θ ≤ 90°, in order of rising 2θ:
16.5 deg, intensity 27.6; 17.8 deg, intensity 68.2; 18.6 deg, intensity 100.0; 26.7 deg, intensity 35.1; 30.0 deg, intensity 37.2; 30.5 deg, intensity 27.9; 33.2 deg, intensity 57.8; 33.3 deg, intensity 23.5; 36.4 deg, intensity 23.3; 41.9 deg, intensity 24.4; 46.1 deg, intensity 25.5; 48.8 deg, intensity 22.5

***

# 3
Starting from DFT lattice parameters and positions (GGA+U), the powder diffraction line list of MnZn2SiO6 was simulated for Cu Kα.

Unit cell a=11.5279 b=5.2198 c=8.0012 alpha=90.00 beta=98.66 gamma=90.00
Sites, in units of the cell vectors:
Mn: 0.0402 0.2431 0.0638
Mn: 0.0402 0.2569 0.5638
Mn: 0.9598 0.7431 0.4362
Mn: 0.9598 0.7569 0.9362
Zn: 0.2281 0.5868 0.8657
Zn: 0.2281 0.9132 0.3657
Zn: 0.4199 0.5779 0.2220
Zn: 0.4199 0.9221 0.7220
Zn: 0.5801 0.0779 0.2780
Zn: 0.5801 0.4221 0.7780
Zn: 0.7719 0.0868 0.6343
Zn: 0.7719 0.4132 0.1343
Si: 0.3174 0.0921 0.0512
Si: 0.3174 0.4079 0.5512
Si: 0.6826 0.5921 0.4488
Si: 0.6826 0.9079 0.9488
O: 0.0302 0.0635 0.8592
O: 0.0302 0.4365 0.3592
O: 0.1004 0.5630 0.9984
O: 0.1004 0.9370 0.4984
O: 0.1984 0.0925 0.1454
O: 0.1984 0.4075 0.6454
O: 0.2971 0.5688 0.3735
O: 0.2971 0.9312 0.8735
O: 0.3555 0.1121 0.5168
O: 0.3555 0.3879 0.0168
O: 0.4234 0.5474 0.6819
O: 0.4234 0.9526 0.1819
O: 0.5766 0.0474 0.8181
O: 0.5766 0.4526 0.3181
O: 0.6445 0.6121 0.9832
O: 0.6445 0.8879 0.4832
O: 0.7029 0.0688 0.1265
O: 0.7029 0.4312 0.6265
O: 0.8016 0.5925 0.3546
O: 0.8016 0.9075 0.8546
O: 0.8996 0.0630 0.5016
O: 0.8996 0.4370 0.0016
O: 0.9698 0.5635 0.6408
O: 0.9698 0.9365 0.1408

Principal peaks in the range 10° ≤ 2θ ≤ 90°, in order of rising 2θ:
22.7 deg, intensity 27.2; 24.7 deg, intensity 47.8; 24.9 deg, intensity 67.7; 28.3 deg, intensity 46.3; 30.1 deg, intensity 100.0; 30.3 deg, intensity 46.1; 32.5 deg, intensity 88.3; 35.3 deg, intensity 25.2; 35.9 deg, intensity 41.5; 36.7 deg, intensity 49.3; 43.2 deg, intensity 26.1; 61.4 deg, intensity 54.9

***

# 4
Starting from DFT lattice parameters and positions (GGA+U), the powder diffraction line list of CaPrCr2O6 was simulated for Cu Kα.

Unit cell a=7.7048 b=5.5039 c=5.4364 alpha=90.00 beta=90.00 gamma=90.00
Sites, in units of the cell vectors:
Ca: 0.0000 0.2075 0.0000
Ca: 0.5000 0.7925 0.5000
Pr: 0.0000 0.7092 0.5199
Pr: 0.5000 0.2908 0.0199
Cr: 0.2493 0.2485 0.5105
Cr: 0.2507 0.7515 0.0105
Cr: 0.7493 0.7515 0.0105
Cr: 0.7507 0.2485 0.5105
O: 0.0000 0.2698 0.4274
O: 0.0000 0.7715 0.0884
O: 0.2064 0.4626 0.7976
O: 0.2082 0.9647 0.7250
O: 0.2918 0.0353 0.2250
O: 0.2936 0.5374 0.2976
O: 0.5000 0.2285 0.5884
O: 0.5000 0.7302 0.9274
O: 0.7064 0.5374 0.2976
O: 0.7082 0.0353 0.2250
O: 0.7918 0.9647 0.7250
O: 0.7936 0.4626 0.7976

Principal peaks in the range 10° ≤ 2θ ≤ 90°, in order of rising 2θ:
19.8 deg, intensity 24.0; 20.0 deg, intensity 25.9; 32.5 deg, intensity 22.9; 32.8 deg, intensity 100.0; 33.0 deg, intensity 23.7; 38.7 deg, intensity 22.5; 47.0 deg, intensity 30.0; 47.2 deg, intensity 16.6; 58.2 deg, intensity 13.7; 58.8 deg, intensity 33.1; 68.8 deg, intensity 14.6; 78.5 deg, intensity 10.5

***

# 5
Starting from DFT lattice parameters and positions (GGA+U), the powder diffraction line list of CoTePb2O6 was simulated for Cu Kα.

Unit cell a=5.7236 b=5.7236 c=5.7236 alpha=60.00 beta=60.00 gamma=60.00
Sites, in units of the cell vectors:
Co: 0.0000 0.0000 0.0000
Te: 0.5000 0.5000 0.5000
Pb: 0.2500 0.2500 0.2500
Pb: 0.7500 0.7500 0.7500
O: 0.2554 0.2554 0.7446
O: 0.2554 0.7446 0.2554
O: 0.2554 0.7446 0.7446
O: 0.7446 0.2554 0.2554
O: 0.7446 0.2554 0.7446
O: 0.7446 0.7446 0.2554

Principal peaks in the range 10° ≤ 2θ ≤ 90°, in order of rising 2θ:
19.0 deg, intensity 3.1; 22.0 deg, intensity 12.2; 31.3 deg, intensity 100.0; 38.5 deg, intensity 12.6; 44.8 deg, intensity 28.1; 50.4 deg, intensity 6.9; 55.6 deg, intensity 40.6; 65.2 deg, intensity 17.6; 69.7 deg, intensity 3.7; 74.1 deg, intensity 17.9; 78.4 deg, intensity 4.5; 82.6 deg, intensity 6.0

***

> Number 5 is which compound?

CoTePb2O6